[1]
Computed X-ray diffraction stick pattern
Compound: As2Pb4Br
Radiation: Cu Kα
Structure: a DFT-relaxed cell (GGA-PBE, Alexandria)
Lines closer than 0.1° are merged.

The 10 most intense peaks (2θ from 5° to 70°), sorted by position:
2theta, I (rel.), hkl
23.33, 53, 2 2 -1
23.65, 59, 3 1 -2
27.52, 94, 2 0 1
30.36, 64, 1 3 0
30.78, 100, 1 3 -1
31.38, 70, 3 1 -3
33.88, 79, 4 2 -1
34.00, 63, 1 1 2
34.17, 53, 5 1 -2
47.71, 55, 4 4 -2

Crystal structure
Cell: 13.708 9.208 8.995 Å, 90.00 130.70 90.00°
Space group C2 (No. 5)
Inequivalent atoms, fractional coordinates:
As 0.054 0.000 0.301 x4
As 0.217 0.740 0.848 x4
Pb 0.075 0.695 0.406 x4
Pb 0.105 0.291 0.235 x4
Pb 0.168 0.065 0.728 x4
Pb 0.176 0.940 0.107 x4
Br 0.000 0.368 0.500 x2
Br 0.000 0.618 0.000 x2

[2]
Computed X-ray diffraction stick pattern
Compound: AsPbBr5
Radiation: Cu Kα
Structure: a DFT-relaxed cell (GGA-PBE, Alexandria)
Lines closer than 0.1° are merged.

The 10 most intense peaks (2θ from 5° to 70°), sorted by position:
2theta, I (rel.), hkl
12.29, 95, 1 0 0
14.89, 40, 1 -1 0
19.63, 80, 1 1 0
21.71, 47, 1 0 -2
23.79, 53, 1 -1 2
30.58, 91, 1 2 0
31.23, 63, -1 2 2
31.47, 70, 2 -2 1
31.73, 100, 1 -1 3
40.14, 42, -3 2 1

Crystal structure
Cell: 7.476 7.483 9.634 Å, 92.16 92.17 105.40°
Space group P1 (No. 1)
Inequivalent atoms, fractional coordinates:
As 0.000 0.000 0.000 x1
As 0.221 0.779 0.501 x1
Pb 0.662 0.533 0.355 x1
Pb 0.754 0.441 0.855 x1
Br 0.113 0.719 0.890 x1
Br 0.302 0.702 0.272 x1
Br 0.316 0.197 0.030 x1
Br 0.418 0.095 0.532 x1
Br 0.491 0.618 0.612 x1
Br 0.640 0.701 0.033 x1
Br 0.839 0.271 0.112 x1
Br 0.921 0.080 0.772 x1
Br 0.922 0.419 0.533 x1
Br 0.939 0.892 0.391 x1

[3]
Computed X-ray diffraction stick pattern
Compound: Pr3AsPbBr
Radiation: Cu Kα
Structure: a DFT-relaxed cell (GGA-PBE, Alexandria)
Lines closer than 0.1° are merged.

The 10 most intense peaks (2θ from 5° to 70°), sorted by position:
2theta, I (rel.), hkl
25.90, 49, 0 1 2
26.57, 28, 2 0 1
27.10, 100, 1 1 -2
31.20, 49, 2 0 2
31.69, 38, 1 1 -3
33.01, 59, 2 1 -2
33.89, 48, 2 1 1
35.14, 51, 2 0 -4
37.73, 34, 0 1 4
42.00, 44, 0 2 0

Crystal structure
Cell: 7.669 4.302 11.728 Å, 90.00 102.35 90.00°
Space group P2_1/m (No. 11)
Inequivalent atoms, fractional coordinates:
Pr 0.046 0.250 0.145 x2
Pr 0.281 0.250 0.498 x2
Pr 0.454 0.750 0.847 x2
As 0.234 0.250 0.942 x2
Pb 0.348 0.750 0.303 x2
Br 0.123 0.750 0.635 x2

[4]
Computed X-ray diffraction stick pattern
Compound: Pm4As3Br
Radiation: Cu Kα
Structure: a DFT-relaxed cell (GGA-PBE, Alexandria)
Lines closer than 0.1° are merged.

The 10 most intense peaks (2θ from 5° to 70°), sorted by position:
2theta, I (rel.), hkl
25.60, 8, 2 2 0
25.75, 9, 0 2 1
29.74, 100, 0 4 0
42.34, 12, 4 0 0
42.56, 49, 2 4 1
42.73, 13, 0 0 2
52.61, 12, 4 4 0
52.94, 13, 0 4 2
61.75, 12, 0 8 0
69.72, 5, 6 0 1

Crystal structure
Cell: 8.538 12.009 4.232 Å, 90.00 90.00 90.00°
Space group Cmmm (No. 65)
Inequivalent atoms, fractional coordinates:
Pm 0.000 0.241 0.000 x4
Pm 0.230 0.000 0.500 x4
As 0.000 0.000 0.000 x2
As 0.250 0.250 0.500 x4
Br 0.000 0.500 0.000 x2